No. 1
Structure and computed powder X-ray diffraction pattern of LiPaMnIr (a crystal structure in Alexandria, relaxed with GGA-PBE; λ = 1.5418 Å (Cu Kα)).
No peak broadening, texture or thermal motion is included.

Cell and atoms:
Cell: 6.477 6.477 6.477 Å, 90.00 90.00 90.00°
Space group F-43m (No. 216)
One atom of each set of equivalent atoms:
Li (0.000, 0.000, 0.000)
Pa (0.000, 0.000, 0.500)
Mn (0.250, 0.250, 0.250)
Ir (0.250, 0.250, 0.750)

Main lines, low angle first (2θ = 15–90°):
2θ = 23.8°, intensity 70, hkl 1 1 1; 2θ = 39.3°, intensity 100, hkl 2 2 0; 2θ = 46.5°, intensity 37, hkl 3 1 1; 2θ = 56.9°, intensity 17, hkl 4 0 0; 2θ = 62.5°, intensity 16, hkl 3 3 1; 2θ = 71.3°, intensity 35, hkl 4 2 2; 2θ = 76.4°, intensity 12, hkl 5 1 1; 2θ = 84.6°, intensity 11, hkl 4 4 0; 2θ = 89.5°, intensity 13, hkl 5 3 1

***

No. 2
Structure and computed powder X-ray diffraction pattern of Li4MoIr (a crystal structure in Alexandria, relaxed with GGA-PBE; λ = 1.5418 Å (Cu Kα)).
No peak broadening, texture or thermal motion is included.

Cell and atoms:
Cell: 6.674 6.674 6.674 Å, 90.00 90.00 90.00°
Space group F-43m (No. 216)
One atom of each set of equivalent atoms:
Li (0.123, 0.123, 0.377)
Mo (0.000, 0.000, 0.000)
Ir (0.250, 0.250, 0.750)

Main lines, low angle first (2θ = 15–90°):
2θ = 23.1°, intensity 100, hkl 1 1 1; 2θ = 26.7°, intensity 10, hkl 2 0 0; 2θ = 38.1°, intensity 82, hkl 2 2 0; 2θ = 45.1°, intensity 62, hkl 3 1 1; 2θ = 55.0°, intensity 12, hkl 4 0 0; 2θ = 60.5°, intensity 22, hkl 3 3 1; 2θ = 68.9°, intensity 29, hkl 4 2 2; 2θ = 73.8°, intensity 19, hkl 3 3 3; 2θ = 81.6°, intensity 10, hkl 4 4 0; 2θ = 86.2°, intensity 17, hkl 5 3 1

***

No. 3
Structure and computed powder X-ray diffraction pattern of LiIrN2 (a crystal structure in Alexandria, relaxed with GGA-PBE; λ = 1.5418 Å (Cu Kα)).
No peak broadening, texture or thermal motion is included.

Cell and atoms:
Cell: 5.707 6.581 5.341 Å, 90.00 90.00 90.00°
Space group Pna2_1 (No. 33)
One atom of each set of equivalent atoms:
Li (0.091, 0.127, 0.000)
Ir (0.078, 0.643, 0.013)
N (0.059, 0.598, 0.364)
N (0.105, 0.131, 0.398)

Main lines, low angle first (2θ = 15–90°):
2θ = 20.6°, intensity 55, hkl 1 1 0; 2θ = 21.4°, intensity 100, hkl 0 1 1; 2θ = 31.4°, intensity 33, hkl 2 0 0; 2θ = 33.6°, intensity 28, hkl 0 0 2; 2θ = 34.2°, intensity 19, hkl 2 1 0; 2θ = 35.7°, intensity 88, hkl 1 2 1; 2θ = 39.7°, intensity 18, hkl 1 1 2; 2θ = 55.8°, intensity 25, hkl 3 2 0; 2θ = 61.4°, intensity 26, hkl 1 2 3; 2θ = 66.7°, intensity 22, hkl 3 2 2